# 1
Starting from a crystal structure in the Materials Project, relaxed with GGA+U, the X-ray powder pattern of SrCr2O4 was calculated for Cu Kα.

Unit cell a=6.032 b=11.749 c=5.187 alpha=90.00 beta=90.00 gamma=90.00
Space group Pmmn (No. 59, origin choice 2)
Inequivalent atoms, fractional coordinates:
Sr (0.250, 0.250, 0.044) x2
Sr (0.250, 0.750, 0.359) x2
Cr (0.000, 0.000, 0.500) x4
Cr (0.250, 0.507, 0.995) x4
O (0.003, 0.095, 0.836) x8
O (0.250, 0.085, 0.328) x4
O (0.250, 0.592, 0.662) x4

Principal peaks in the range 2θ from 10° to 80°, low angle first:
- (0 2 0), d = 5.874 Å, 2θ 15.1, I = 45
- (1 1 1), d = 3.729 Å, 2θ 23.9, I = 100
- (0 4 0), d = 2.937 Å, 2θ 30.4, I = 64
- (1 3 1), d = 2.775 Å, 2θ 32.3, I = 57
- (2 2 0), d = 2.683 Å, 2θ 33.4, I = 33
- (2 2 1), d = 2.383 Å, 2θ 37.7, I = 41
- (0 3 2), d = 2.162 Å, 2θ 41.8, I = 34
- (2 4 1), d = 1.950 Å, 2θ 46.6, I = 66
- (0 4 2), d = 1.944 Å, 2θ 46.7, I = 39
- (2 0 3), d = 1.500 Å, 2θ 61.9, I = 36

# 2
Starting from a crystal structure in the Materials Project, relaxed with GGA+U, the X-ray powder pattern of Li3LaNiO4 was calculated for Cu Kα.

Unit cell a=5.883 b=7.413 c=9.792 alpha=85.03 beta=76.98 gamma=79.74
Space group P-1 (No. 2)
Inequivalent atoms, fractional coordinates:
Li (0.027, 0.195, 0.375) x2
Li (0.029, 0.946, 0.124) x2
Li (0.040, 0.450, 0.629) x2
Li (0.320, 0.061, 0.598) x2
Li (0.323, 0.566, 0.098) x2
Li (0.324, 0.316, 0.847) x2
La (0.480, 0.372, 0.377) x2
La (0.495, 0.122, 0.124) x2
Ni (0.037, 0.694, 0.877) x2
Ni (0.314, 0.814, 0.350) x2
O (0.170, 0.635, 0.480) x2
O (0.179, 0.141, 0.984) x2
O (0.179, 0.383, 0.229) x2
O (0.185, 0.879, 0.735) x2
O (0.343, 0.822, 0.144) x2
O (0.344, 0.066, 0.388) x2
O (0.349, 0.567, 0.892) x2
O (0.359, 0.320, 0.636) x2

Principal peaks in the range 2θ from 10° to 80°, low angle first:
- (0 1 -1), d = 5.656 Å, 2θ 15.7, I = 100
- (1 -1 1), d = 3.999 Å, 2θ 22.2, I = 23
- (1 1 3), d = 2.968 Å, 2θ 30.1, I = 27
- (0 2 -2), d = 2.828 Å, 2θ 31.6, I = 16
- (2 -1 1), d = 2.529 Å, 2θ 35.5, I = 56
- (2 1 3), d = 2.388 Å, 2θ 37.7, I = 33
- (0 0 4), d = 2.382 Å, 2θ 37.8, I = 51
- (-1 2 2), d = 2.378 Å, 2θ 37.8, I = 18
- (1 3 -3), d = 1.789 Å, 2θ 51.1, I = 24
- (3 -1 5), d = 1.432 Å, 2θ 65.1, I = 12

# 3
Starting from a crystal structure in the Materials Project, relaxed with GGA+U, the X-ray powder pattern of Ba5Fe3W2O15 was calculated for Cu Kα.

Unit cell a=12.974 b=12.974 c=8.246 alpha=90.00 beta=90.00 gamma=90.00
Space group I4/m (No. 87)
Inequivalent atoms, fractional coordinates:
Ba (0.000, 0.500, 0.250) x4
Ba (0.097, 0.194, 0.242) x16
Fe (0.000, 0.000, 0.000) x2
Fe (0.000, 0.000, 0.500) x2
Fe (0.101, 0.704, 0.000) x8
W (0.099, 0.700, 0.500) x8
O (0.000, 0.000, 0.260) x4
O (0.045, 0.348, 0.500) x8
O (0.050, 0.849, 0.000) x8
O (0.051, 0.844, 0.500) x8
O (0.057, 0.354, 0.000) x8
O (0.100, 0.699, 0.262) x16
O (0.242, 0.749, 0.500) x8

Principal peaks in the range 2θ from 10° to 80°, low angle first:
- (1 2 1), d = 4.745 Å, 2θ 18.7, I = 13
- (3 1 2), d = 2.906 Å, 2θ 30.8, I = 100
- (0 0 4), d = 2.061 Å, 2θ 43.9, I = 10
- (6 2 0), d = 2.051 Å, 2θ 44.1, I = 20
- (2 4 4), d = 1.680 Å, 2θ 54.6, I = 13
- (5 5 2), d = 1.676 Å, 2θ 54.8, I = 26
- (6 2 4), d = 1.454 Å, 2θ 64.0, I = 12
- (4 8 0), d = 1.451 Å, 2θ 64.2, I = 6
- (3 1 6), d = 1.303 Å, 2θ 72.5, I = 6
- (10 0 0), d = 1.298 Å, 2θ 72.9, I = 11

# 4
Starting from a crystal structure in the Materials Project, relaxed with GGA+U, the X-ray powder pattern of KEuFeBiO6 was calculated for Cu Kα.

Unit cell a=8.162 b=8.162 c=8.162 alpha=90.00 beta=90.00 gamma=90.00
Space group F-43m (No. 216)
Inequivalent atoms, fractional coordinates:
K (0.000, 0.000, 0.000) x4
Eu (0.000, 0.000, 0.500) x4
Fe (0.250, 0.250, 0.750) x4
Bi (0.250, 0.250, 0.250) x4
O (0.009, 0.250, 0.750) x24

Principal peaks in the range 2θ from 10° to 80°, low angle first:
- (1 1 1), d = 4.712 Å, 2θ 18.8, I = 38
- (2 2 0), d = 2.886 Å, 2θ 31.0, I = 100
- (3 1 1), d = 2.461 Å, 2θ 36.5, I = 25
- (4 0 0), d = 2.040 Å, 2θ 44.4, I = 31
- (3 3 1), d = 1.872 Å, 2θ 48.6, I = 12
- (4 2 2), d = 1.666 Å, 2θ 55.1, I = 40
- (3 3 3), d = 1.571 Å, 2θ 58.8, I = 9
- (4 4 0), d = 1.443 Å, 2θ 64.6, I = 19
- (5 3 1), d = 1.380 Å, 2θ 67.9, I = 9
- (6 2 0), d = 1.290 Å, 2θ 73.4, I = 18

# 5
Starting from a crystal structure in the Materials Project, relaxed with GGA+U, the X-ray powder pattern of LiTiV3O8 was calculated for Cu Kα.

Unit cell a=10.115 b=5.825 c=6.143 alpha=90.00 beta=124.05 gamma=90.00
Space group C2/m (No. 12)
Inequivalent atoms, fractional coordinates:
Li (0.000, 0.000, 0.000) x2
Ti (0.000, 0.000, 0.500) x2
V (0.000, 0.500, 0.500) x2
V (0.250, 0.250, 0.500) x4
O (0.016, 0.246, 0.295) x8
O (0.235, 0.000, 0.697) x4
O (0.239, 0.500, 0.705) x4

Principal peaks in the range 2θ from 10° to 80°, low angle first:
- (0 0 1), d = 5.090 Å, 2θ 17.4, I = 100
- (4 0 -1), d = 2.492 Å, 2θ 36.0, I = 26
- (2 2 -2), d = 2.112 Å, 2θ 42.8, I = 33
- (4 0 0), d = 2.095 Å, 2θ 43.2, I = 16
- (2 2 1), d = 1.939 Å, 2θ 46.8, I = 4
- (2 2 -3), d = 1.656 Å, 2θ 55.5, I = 10
- (4 0 1), d = 1.641 Å, 2θ 56.0, I = 5
- (2 2 2), d = 1.518 Å, 2θ 61.1, I = 8
- (6 2 -2), d = 1.459 Å, 2θ 63.8, I = 9
- (0 4 1), d = 1.399 Å, 2θ 66.9, I = 7

# 6
Starting from a crystal structure in the Materials Project, relaxed with GGA+U, the X-ray powder pattern of ZnCr4CoO8 was calculated for Cu Kα.

Unit cell a=6.0053 b=6.0053 c=29.2981 alpha=90.00 beta=90.00 gamma=120.00
Space group R3m (No. 160, hexagonal axes)
Inequivalent atoms, fractional coordinates:
Zn (0.0000, 0.0000, 0.0000) x3
Zn (0.0000, 0.0000, 0.5000) x3
Cr (0.0000, 0.0000, 0.1872) x3
Cr (0.0000, 0.0000, 0.6881) x3
Cr (0.0002, 0.5001, 0.4375) x9
Cr (0.0004, 0.5002, 0.9375) x9
Co (0.0000, 0.0000, 0.3750) x3
Co (0.0000, 0.0000, 0.8752) x3
O (0.0000, 0.0000, 0.0684) x3
O (0.0000, 0.0000, 0.3068) x3
O (0.0000, 0.0000, 0.5683) x3
O (0.0000, 0.0000, 0.8067) x3
O (0.0293, 0.5146, 0.8106) x9
O (0.0310, 0.5155, 0.3107) x9
O (0.1811, 0.3623, 0.3978) x9
O (0.1821, 0.3641, 0.8977) x9

Principal peaks in the range 2θ from 10° to 80°, low angle first:
- (1 1 0), d = 2.998 Å, 2θ 29.8, I = 50
- (2 0 2), d = 2.559 Å, 2θ 35.1, I = 100
- (1 0 10), d = 2.553 Å, 2θ 35.2, I = 33
- (2 0 8), d = 2.120 Å, 2θ 42.6, I = 19
- (3 0 0), d = 1.733 Å, 2θ 52.8, I = 13
- (2 1 10), d = 1.633 Å, 2θ 56.3, I = 37
- (2 0 14), d = 1.630 Å, 2θ 56.4, I = 10
- (2 2 0), d = 1.501 Å, 2θ 61.8, I = 29
- (0 2 16), d = 1.497 Å, 2θ 62.0, I = 29
- (1 3 10), d = 1.294 Å, 2θ 73.1, I = 7

# 7
Starting from a crystal structure in the Materials Project, relaxed with GGA+U, the X-ray powder pattern of MgMn6O8F4 was calculated for Cu Kα.

Unit cell a=5.161 b=5.232 c=8.959 alpha=87.16 beta=86.41 gamma=76.56
Space group P1 (No. 1)
Inequivalent atoms, fractional coordinates:
Mg (0.000, 0.000, 0.000) x1
Mn (0.000, 0.498, 0.500) x1
Mn (0.004, 0.501, 0.174) x1
Mn (0.489, 0.995, 0.671) x1
Mn (0.500, 0.998, 0.000) x1
Mn (0.513, 0.003, 0.330) x1
Mn (0.999, 0.498, 0.827) x1
O (0.181, 0.298, 0.003) x1
O (0.198, 0.304, 0.333) x1
O (0.216, 0.325, 0.664) x1
O (0.329, 0.870, 0.848) x1
O (0.672, 0.128, 0.153) x1
O (0.786, 0.673, 0.336) x1
O (0.804, 0.695, 0.667) x1
O (0.821, 0.700, 0.997) x1
F (0.251, 0.815, 0.155) x1
F (0.322, 0.845, 0.492) x1
F (0.681, 0.155, 0.509) x1
F (0.750, 0.184, 0.845) x1

Principal peaks in the range 2θ from 10° to 80°, low angle first:
- (1 1 0), d = 4.069 Å, 2θ 21.8, I = 100
- (1 -1 0), d = 3.219 Å, 2θ 27.7, I = 53
- (1 0 3), d = 2.622 Å, 2θ 34.2, I = 16
- (0 1 3), d = 2.612 Å, 2θ 34.3, I = 19
- (0 2 0), d = 2.543 Å, 2θ 35.3, I = 14
- (0 1 -3), d = 2.531 Å, 2θ 35.5, I = 15
- (2 0 0), d = 2.509 Å, 2θ 35.8, I = 15
- (2 2 0), d = 2.034 Å, 2θ 44.5, I = 22
- (2 1 3), d = 1.978 Å, 2θ 45.9, I = 17
- (2 1 -3), d = 1.846 Å, 2θ 49.4, I = 15